# 1
Tb2Sm4Tm: calculated powder XRD pattern (Cu Kα), based on the PBE geometry in Alexandria.
Neutral-atom scattering factors, no anomalous dispersion.

Crystal structure
Lattice parameters (Å, degrees): 6.188 6.618 11.572 90.00 104.39 90.00
Fractional coordinates of all 14 atoms:
1 Tb 0.108 0.250 0.494
2 Tb 0.213 0.250 0.078
3 Tb 0.787 0.750 0.922
4 Tb 0.892 0.750 0.506
5 Sm 0.150 0.010 0.786
6 Sm 0.150 0.490 0.786
7 Sm 0.349 0.750 0.050
8 Sm 0.460 0.750 0.635
9 Sm 0.540 0.250 0.365
10 Sm 0.651 0.250 0.950
11 Sm 0.850 0.510 0.214
12 Sm 0.850 0.990 0.214
13 Tm 0.351 0.750 0.337
14 Tm 0.649 0.250 0.663

Largest 6 diffraction maxima, sorted by position, 10 to 80 degrees two-theta:
30.9°, I 47.8
31.2°, I 79.5
31.4°, I 51.1
31.7°, I 73.2
32.8°, I 100.0
33.1°, I 73.9


# 2
K2InHg6Au: calculated powder XRD pattern (Cu Kα), based on the PBE geometry in Alexandria.
Neutral-atom scattering factors, no anomalous dispersion.

Crystal structure
Lattice parameters (Å, degrees): 5.536 6.991 8.051 85.27 83.34 84.43
Fractional coordinates of all 10 atoms:
1 K 0.034 0.263 0.347
2 K 0.966 0.737 0.653
3 In 0.500 0.500 0.000
4 Hg 0.002 0.730 0.125
5 Hg 0.390 0.928 0.858
6 Hg 0.487 0.645 0.346
7 Hg 0.513 0.355 0.654
8 Hg 0.610 0.072 0.142
9 Hg 0.998 0.270 0.875
10 Au 0.500 0.000 0.500

Largest 6 diffraction maxima, sorted by position, 10 to 80 degrees two-theta:
16.2°, I 70.0
27.8°, I 64.7
31.7°, I 72.3
32.0°, I 74.1
32.7°, I 100.0
43.8°, I 44.0


# 3
KCu2P2H3O8F2: calculated powder XRD pattern (Cu Kα), based on the PBE geometry in Alexandria.
Neutral-atom scattering factors, no anomalous dispersion.

Crystal structure
Lattice parameters (Å, degrees): 5.634 5.634 7.989 113.36 113.36 69.99
Fractional coordinates of all 18 atoms:
1 K 0.000 0.000 0.000
2 Cu 0.000 0.500 0.500
3 Cu 0.500 0.000 0.500
4 P 0.436 0.436 0.239
5 P 0.564 0.564 0.761
6 H 0.000 0.000 0.500
7 H 0.200 0.200 0.705
8 H 0.800 0.800 0.295
9 O 0.150 0.150 0.565
10 O 0.264 0.664 0.728
11 O 0.314 0.314 0.315
12 O 0.336 0.736 0.272
13 O 0.664 0.264 0.728
14 O 0.686 0.686 0.685
15 O 0.736 0.336 0.272
16 O 0.850 0.850 0.435
17 F 0.319 0.319 0.007
18 F 0.681 0.681 0.993

Largest 6 diffraction maxima, sorted by position, 10 to 80 degrees two-theta:
12.7°, I 83.5
24.3°, I 54.5
26.3°, I 46.0
30.5°, I 100.0
33.9°, I 65.0
37.1°, I 43.3


# 4
SmHo4Er2Th: calculated powder XRD pattern (Cu Kα), based on the PBE geometry in Alexandria.
Neutral-atom scattering factors, no anomalous dispersion.

Crystal structure
Lattice parameters (Å, degrees): 5.022 5.022 9.976 90.00 90.00 90.00
Fractional coordinates of all 8 atoms:
1 Sm 0.000 0.000 0.000
2 Ho 0.000 0.500 0.252
3 Ho 0.000 0.500 0.748
4 Ho 0.500 0.000 0.252
5 Ho 0.500 0.000 0.748
6 Er 0.000 0.000 0.500
7 Er 0.500 0.500 0.000
8 Th 0.500 0.500 0.500

Largest 6 diffraction maxima, sorted by position, 10 to 80 degrees two-theta:
30.9°, I 100.0
35.8°, I 34.0
36.0°, I 16.7
51.7°, I 24.0
61.2°, I 28.9
61.6°, I 14.2


# 5
LaPr5Sc: calculated powder XRD pattern (Cu Kα), based on the PBE geometry in Alexandria.
Neutral-atom scattering factors, no anomalous dispersion.

Crystal structure
Lattice parameters (Å, degrees): 5.416 5.416 8.738 90.00 90.00 90.00
Fractional coordinates of all 7 atoms:
1 La 0.000 0.000 0.000
2 Pr 0.000 0.500 0.291
3 Pr 0.000 0.500 0.709
4 Pr 0.500 0.000 0.291
5 Pr 0.500 0.000 0.709
6 Pr 0.500 0.500 0.000
7 Sc 0.000 0.000 0.500

Largest 6 diffraction maxima, sorted by position, 10 to 80 degrees two-theta:
25.4°, I 35.4
31.1°, I 100.0
33.1°, I 50.1
45.8°, I 20.3
47.5°, I 18.1
57.8°, I 33.8


# 6
MgSb2P2Pd7: calculated powder XRD pattern (Cu Kα), based on the PBE geometry in Alexandria.
Neutral-atom scattering factors, no anomalous dispersion.

Crystal structure
Lattice parameters (Å, degrees): 14.873 14.873 14.873 164.84 164.84 21.51
Fractional coordinates of all 12 atoms:
1 Mg 0.000 0.000 0.000
2 Sb 0.212 0.212 0.000
3 Sb 0.788 0.788 0.000
4 P 0.385 0.385 0.000
5 P 0.615 0.615 0.000
6 Pd 0.071 0.571 0.500
7 Pd 0.305 0.305 0.000
8 Pd 0.429 0.929 0.500
9 Pd 0.500 0.500 0.000
10 Pd 0.571 0.071 0.500
11 Pd 0.695 0.695 0.000
12 Pd 0.929 0.429 0.500

Largest 6 diffraction maxima, sorted by position, 10 to 80 degrees two-theta:
24.4°, I 49.2
32.9°, I 100.0
34.6°, I 41.0
37.3°, I 89.5
45.1°, I 66.2
46.3°, I 86.1


# 7
Pm12SmNi6: calculated powder XRD pattern (Cu Kα), based on the PBE geometry in Alexandria.
Neutral-atom scattering factors, no anomalous dispersion.

Crystal structure
Lattice parameters (Å, degrees): 8.742 8.742 8.742 109.47 109.47 109.47
Fractional coordinates of all 19 atoms:
1 Pm 0.127 0.815 0.312
2 Pm 0.185 0.312 0.497
3 Pm 0.185 0.688 0.873
4 Pm 0.312 0.127 0.815
5 Pm 0.312 0.497 0.185
6 Pm 0.497 0.185 0.312
7 Pm 0.503 0.815 0.688
8 Pm 0.688 0.503 0.815
9 Pm 0.688 0.873 0.185
10 Pm 0.815 0.312 0.127
11 Pm 0.815 0.688 0.503
12 Pm 0.873 0.185 0.688
13 Sm 0.000 0.000 0.000
14 Ni 0.122 0.622 0.500
15 Ni 0.378 0.500 0.878
16 Ni 0.500 0.122 0.622
17 Ni 0.500 0.878 0.378
18 Ni 0.622 0.500 0.122
19 Ni 0.878 0.378 0.500

Largest 6 diffraction maxima, sorted by position, 10 to 80 degrees two-theta:
27.9°, I 47.9
30.7°, I 32.7
33.2°, I 100.0
45.8°, I 25.2
52.9°, I 32.0
56.2°, I 32.4


# 8
UTa4O12: calculated powder XRD pattern (Cu Kα), based on the PBE geometry in Alexandria.
Neutral-atom scattering factors, no anomalous dispersion.

Crystal structure
Lattice parameters (Å, degrees): 6.767 6.767 6.767 108.78 108.78 110.86
Fractional coordinates of all 17 atoms:
1 U 0.000 0.000 0.000
2 Ta 0.000 0.000 0.500
3 Ta 0.000 0.500 0.000
4 Ta 0.500 0.000 0.000
5 Ta 0.500 0.500 0.500
6 O 0.043 0.804 0.239
7 O 0.196 0.435 0.239
8 O 0.196 0.957 0.761
9 O 0.284 0.284 0.569
10 O 0.284 0.716 0.000
11 O 0.435 0.196 0.239
12 O 0.565 0.804 0.761
13 O 0.716 0.284 0.000
14 O 0.716 0.716 0.431
15 O 0.804 0.043 0.239
16 O 0.804 0.565 0.761
17 O 0.957 0.196 0.761

Largest 6 diffraction maxima, sorted by position, 10 to 80 degrees two-theta:
16.1°, I 39.0
22.6°, I 50.1
32.1°, I 49.8
32.6°, I 100.0
46.1°, I 30.2
57.6°, I 43.4